Record 1
LiZn2MoN4: calculated X-ray powder pattern (Cu Kα), based on DFT lattice parameters and positions (PBE).
Intensities are scaled so that the largest is 100.

Crystal structure
```
data_LiZn2MoN4
_chemical_formula_sum 'Li2 Zn4 Mo2 N8'
_cell_length_a 6.7189
_cell_length_b 5.6723
_cell_length_c 5.3113
_cell_angle_alpha 90.00
_cell_angle_beta 90.00
_cell_angle_gamma 90.00
_symmetry_space_group_name_H-M 'P 1'
_symmetry_Int_Tables_number 1
loop_
_symmetry_equiv_pos_as_xyz
'x,y,z'
loop_
_atom_site_label
_atom_site_fract_x
_atom_site_fract_y
_atom_site_fract_z
Li1 0.0000 0.1710 0.0000
Li2 0.5000 0.8290 0.5000
Zn1 0.2474 0.3296 0.5096
Zn2 0.2526 0.6704 0.0096
Zn3 0.7474 0.6704 0.0096
Zn4 0.7526 0.3296 0.5096
Mo1 0.0000 0.8255 0.5119
Mo2 0.5000 0.1745 0.0119
N1 0.0000 0.1460 0.4131
N2 0.0000 0.8098 0.8634
N3 0.2272 0.6698 0.3919
N4 0.2728 0.3302 0.8919
N5 0.5000 0.1902 0.3634
N6 0.5000 0.8540 0.9131
N7 0.7272 0.3302 0.8919
N8 0.7728 0.6698 0.3919
```

Peak list (6 most intense, 2θ = 5–70°, by angle)
Position (°2θ)	I_rel
20.5	43.5
21.3	54.7
30.9	42.0
33.8	53.0
35.4	100.0
35.9	41.7



Record 2
La8Cu2Tc: calculated X-ray powder pattern (Cu Kα), based on DFT lattice parameters and positions (PBE).
Intensities are scaled so that the largest is 100.

Crystal structure
```
data_La8Cu2Tc
_chemical_formula_sum 'La8 Cu2 Tc1'
_cell_length_a 9.4244
_cell_length_b 9.4244
_cell_length_c 7.3582
_cell_angle_alpha 91.78
_cell_angle_beta 91.78
_cell_angle_gamma 30.35
_symmetry_space_group_name_H-M 'P 1'
_symmetry_Int_Tables_number 1
loop_
_symmetry_equiv_pos_as_xyz
'x,y,z'
loop_
_atom_site_label
_atom_site_fract_x
_atom_site_fract_y
_atom_site_fract_z
La1 0.0096 0.0096 0.2713
La2 0.2132 0.2132 0.8389
La3 0.3503 0.3503 0.5133
La4 0.4072 0.4072 0.0194
La5 0.5928 0.5928 0.9806
La6 0.6497 0.6497 0.4867
La7 0.7868 0.7868 0.1611
La8 0.9904 0.9904 0.7287
Cu1 0.1869 0.1869 0.2333
Cu2 0.8131 0.8131 0.7667
Tc1 0.5000 0.5000 0.5000
```

Peak list (6 most intense, 2θ = 5–70°, by angle)
Position (°2θ)	I_rel
26.5	21.9
30.6	100.0
30.8	36.2
31.8	16.2
36.4	34.9
55.6	18.5



Record 3
BaLiPa2S5: calculated X-ray powder pattern (Cu Kα), based on DFT lattice parameters and positions (PBE).
Intensities are scaled so that the largest is 100.

Crystal structure
```
data_BaLiPa2S5
_chemical_formula_sum 'Ba2 Li2 Pa4 S10'
_cell_length_a 8.8129
_cell_length_b 8.8129
_cell_length_c 8.8129
_cell_angle_alpha 128.81
_cell_angle_beta 128.81
_cell_angle_gamma 75.31
_symmetry_space_group_name_H-M 'P 1'
_symmetry_Int_Tables_number 1
loop_
_symmetry_equiv_pos_as_xyz
'x,y,z'
loop_
_atom_site_label
_atom_site_fract_x
_atom_site_fract_y
_atom_site_fract_z
Ba1 0.2500 0.2500 0.0000
Ba2 0.7500 0.7500 0.0000
Li1 0.2500 0.7500 0.5000
Li2 0.7500 0.2500 0.5000
Pa1 0.1576 0.6576 0.8151
Pa2 0.3424 0.1576 0.5000
Pa3 0.6576 0.8424 0.5000
Pa4 0.8424 0.3424 0.1849
S1 0.0000 0.0000 0.0000
S2 0.0216 0.2208 0.5000
S3 0.2208 0.7208 0.1992
S4 0.2792 0.4784 0.5000
S5 0.4784 0.9784 0.1992
S6 0.5000 0.5000 0.0000
S7 0.5216 0.0216 0.8008
S8 0.7208 0.5216 0.5000
S9 0.7792 0.2792 0.8008
S10 0.9784 0.7792 0.5000
```

Peak list (6 most intense, 2θ = 5–70°, by angle)
Position (°2θ)	I_rel
12.7	72.9
20.8	42.2
27.0	66.5
32.6	100.0
37.3	43.8
41.9	47.0



Record 4
K4Rb2Na9: calculated X-ray powder pattern (Cu Kα), based on DFT lattice parameters and positions (PBE).
Intensities are scaled so that the largest is 100.

Crystal structure
```
data_K4Rb2Na9
_chemical_formula_sum 'K4 Rb2 Na9'
_cell_length_a 5.8187
_cell_length_b 7.1785
_cell_length_c 20.6909
_cell_angle_alpha 84.26
_cell_angle_beta 81.94
_cell_angle_gamma 66.26
_symmetry_space_group_name_H-M 'P 1'
_symmetry_Int_Tables_number 1
loop_
_symmetry_equiv_pos_as_xyz
'x,y,z'
loop_
_atom_site_label
_atom_site_fract_x
_atom_site_fract_y
_atom_site_fract_z
K1 0.0295 0.3217 0.1205
K2 0.1615 0.5298 0.6477
K3 0.8385 0.4702 0.3523
K4 0.9705 0.6783 0.8795
Rb1 0.4112 0.9434 0.7327
Rb2 0.5888 0.0566 0.2673
Na1 0.1091 0.8599 0.4243
Na2 0.2385 0.0799 0.9452
Na3 0.3141 0.7026 0.1739
Na4 0.3763 0.2707 0.4742
Na5 0.5000 0.5000 0.0000
Na6 0.6237 0.7293 0.5258
Na7 0.6859 0.2974 0.8261
Na8 0.7615 0.9201 0.0548
Na9 0.8909 0.1401 0.5757
```

Peak list (6 most intense, 2θ = 5–70°, by angle)
Position (°2θ)	I_rel
19.7	20.7
25.5	100.0
26.6	76.8
29.6	32.7
30.1	19.9
30.7	30.5



Record 5
KCo4S8: calculated X-ray powder pattern (Cu Kα), based on DFT lattice parameters and positions (PBE).
Intensities are scaled so that the largest is 100.

Crystal structure
```
data_KCo4S8
_chemical_formula_sum 'K1 Co4 S8'
_cell_length_a 8.7191
_cell_length_b 8.7191
_cell_length_c 8.7191
_cell_angle_alpha 43.94
_cell_angle_beta 43.94
_cell_angle_gamma 43.94
_symmetry_space_group_name_H-M 'P 1'
_symmetry_Int_Tables_number 1
loop_
_symmetry_equiv_pos_as_xyz
'x,y,z'
loop_
_atom_site_label
_atom_site_fract_x
_atom_site_fract_y
_atom_site_fract_z
K1 0.0000 0.0000 0.0000
Co1 0.0000 0.0000 0.5000
Co2 0.0000 0.5000 0.0000
Co3 0.5000 0.0000 0.0000
Co4 0.5000 0.5000 0.5000
S1 0.2190 0.2190 0.2190
S2 0.2192 0.7184 0.7184
S3 0.2816 0.2816 0.7808
S4 0.2816 0.7808 0.2816
S5 0.7184 0.2191 0.7184
S6 0.7184 0.7184 0.2192
S7 0.7808 0.2816 0.2816
S8 0.7810 0.7810 0.7810
```

Peak list (6 most intense, 2θ = 5–70°, by angle)
Position (°2θ)	I_rel
11.3	100.0
35.2	31.2
41.7	18.0
50.4	6.9
56.4	9.5
57.7	7.4



Record 6
BeZnCl4: calculated X-ray powder pattern (Cu Kα), based on DFT lattice parameters and positions (PBE).
Intensities are scaled so that the largest is 100.

Crystal structure
```
data_BeZnCl4
_chemical_formula_sum 'Be2 Zn2 Cl8'
_cell_length_a 6.5772
_cell_length_b 6.5772
_cell_length_c 9.2355
_cell_angle_alpha 90.00
_cell_angle_beta 90.00
_cell_angle_gamma 90.00
_symmetry_space_group_name_H-M 'P 1'
_symmetry_Int_Tables_number 1
loop_
_symmetry_equiv_pos_as_xyz
'x,y,z'
loop_
_atom_site_label
_atom_site_fract_x
_atom_site_fract_y
_atom_site_fract_z
Be1 0.0000 0.5000 0.0000
Be2 0.5000 0.0000 0.5000
Zn1 0.0000 0.0000 0.0000
Zn2 0.0000 0.0000 0.5000
Cl1 0.2303 0.2702 0.0000
Cl2 0.2303 0.7298 0.0000
Cl3 0.2702 0.2303 0.5000
Cl4 0.2702 0.7697 0.5000
Cl5 0.7298 0.2303 0.5000
Cl6 0.7298 0.7697 0.5000
Cl7 0.7697 0.2702 0.0000
Cl8 0.7697 0.7298 0.0000
```

Peak list (6 most intense, 2θ = 5–70°, by angle)
Position (°2θ)	I_rel
13.5	41.4
19.2	100.0
23.5	22.8
27.2	19.0
38.7	26.3
43.6	40.7



Record 7
SmSiBRh6: calculated X-ray powder pattern (Cu Kα), based on DFT lattice parameters and positions (PBE).
Intensities are scaled so that the largest is 100.

Crystal structure
```
data_SmSiBRh6
_chemical_formula_sum 'Sm2 Si2 B2 Rh12'
_cell_length_a 7.6278
_cell_length_b 7.6278
_cell_length_c 7.6278
_cell_angle_alpha 134.09
_cell_angle_beta 110.80
_cell_angle_gamma 87.08
_symmetry_space_group_name_H-M 'P 1'
_symmetry_Int_Tables_number 1
loop_
_symmetry_equiv_pos_as_xyz
'x,y,z'
loop_
_atom_site_label
_atom_site_fract_x
_atom_site_fract_y
_atom_site_fract_z
Sm1 0.4416 0.1916 0.2500
Sm2 0.5584 0.8084 0.7500
Si1 0.0000 0.0000 0.5000
Si2 0.0000 0.5000 0.0000
B1 0.0000 0.5000 0.5000
B2 0.5000 0.5000 0.0000
Rh1 0.1102 0.3841 0.2402
Rh2 0.1102 0.8700 0.7261
Rh3 0.1725 0.9225 0.2500
Rh4 0.2820 0.5320 0.7500
Rh5 0.3561 0.1300 0.7402
Rh6 0.3561 0.6159 0.2261
Rh7 0.6439 0.3841 0.7739
Rh8 0.6439 0.8700 0.2598
Rh9 0.7180 0.4680 0.2500
Rh10 0.8275 0.0775 0.7500
Rh11 0.8898 0.1300 0.2739
Rh12 0.8898 0.6159 0.7598
```

Peak list (6 most intense, 2θ = 5–70°, by angle)
Position (°2θ)	I_rel
36.6	100.0
37.3	36.6
38.6	37.1
41.7	39.1
44.7	21.0
49.7	23.9



Record 8
NaErTlCl5: calculated X-ray powder pattern (Cu Kα), based on DFT lattice parameters and positions (PBE).
Intensities are scaled so that the largest is 100.

Crystal structure
```
data_NaErTlCl5
_chemical_formula_sum 'Na2 Er2 Tl2 Cl10'
_cell_length_a 7.7548
_cell_length_b 7.7548
_cell_length_c 10.0953
_cell_angle_alpha 101.65
_cell_angle_beta 101.65
_cell_angle_gamma 111.90
_symmetry_space_group_name_H-M 'P 1'
_symmetry_Int_Tables_number 1
loop_
_symmetry_equiv_pos_as_xyz
'x,y,z'
loop_
_atom_site_label
_atom_site_fract_x
_atom_site_fract_y
_atom_site_fract_z
Na1 0.1872 0.8128 0.7500
Na2 0.8128 0.1872 0.2500
Er1 0.5000 0.5000 0.0000
Er2 0.5000 0.5000 0.5000
Tl1 0.1503 0.8497 0.2500
Tl2 0.8497 0.1503 0.7500
Cl1 0.1399 0.2406 0.4375
Cl2 0.2099 0.5849 0.9102
Cl3 0.2406 0.1399 0.9375
Cl4 0.4151 0.7901 0.5898
Cl5 0.4329 0.5671 0.2500
Cl6 0.5671 0.4329 0.7500
Cl7 0.5849 0.2099 0.4102
Cl8 0.7594 0.8601 0.0625
Cl9 0.7901 0.4151 0.0898
Cl10 0.8601 0.7594 0.5625
```

Peak list (6 most intense, 2θ = 5–70°, by angle)
Position (°2θ)	I_rel
13.5	40.5
19.3	97.5
21.9	57.4
23.5	100.0
36.5	37.1
39.5	33.1



Record 9
Li3Tm3AlSe8: calculated X-ray powder pattern (Cu Kα), based on DFT lattice parameters and positions (PBE).
Intensities are scaled so that the largest is 100.

Crystal structure
```
data_Li3Tm3AlSe8
_chemical_formula_sum 'Li3 Tm3 Al1 Se8'
_cell_length_a 7.9054
_cell_length_b 7.9054
_cell_length_c 7.9054
_cell_angle_alpha 60.10
_cell_angle_beta 60.10
_cell_angle_gamma 60.10
_symmetry_space_group_name_H-M 'P 1'
_symmetry_Int_Tables_number 1
loop_
_symmetry_equiv_pos_as_xyz
'x,y,z'
loop_
_atom_site_label
_atom_site_fract_x
_atom_site_fract_y
_atom_site_fract_z
Li1 0.0000 0.5000 0.5000
Li2 0.5000 0.0000 0.5000
Li3 0.5000 0.5000 0.0000
Tm1 0.0000 0.0000 0.5000
Tm2 0.0000 0.5000 0.0000
Tm3 0.5000 0.0000 0.0000
Al1 0.5000 0.5000 0.5000
Se1 0.2513 0.2513 0.2513
Se2 0.2652 0.2652 0.7312
Se3 0.2652 0.7312 0.2652
Se4 0.2688 0.7348 0.7348
Se5 0.7312 0.2652 0.2652
Se6 0.7348 0.2688 0.7348
Se7 0.7348 0.7348 0.2688
Se8 0.7487 0.7487 0.7487
```

Peak list (6 most intense, 2θ = 5–70°, by angle)
Position (°2θ)	I_rel
13.7	57.5
26.4	38.4
32.0	100.0
35.0	20.6
45.9	71.5
57.0	18.2



Record 10
Li3AgPd4: calculated X-ray powder pattern (Cu Kα), based on DFT lattice parameters and positions (PBE).
Intensities are scaled so that the largest is 100.

Crystal structure
```
data_Li3AgPd4
_chemical_formula_sum 'Li3 Ag1 Pd4'
_cell_length_a 5.7525
_cell_length_b 5.7525
_cell_length_c 5.7525
_cell_angle_alpha 125.73
_cell_angle_beta 78.70
_cell_angle_gamma 127.73
_symmetry_space_group_name_H-M 'P 1'
_symmetry_Int_Tables_number 1
loop_
_symmetry_equiv_pos_as_xyz
'x,y,z'
loop_
_atom_site_label
_atom_site_fract_x
_atom_site_fract_y
_atom_site_fract_z
Li1 0.0000 0.0000 0.0000
Li2 0.0000 0.2459 0.7541
Li3 0.4918 0.2459 0.2459
Ag1 0.9788 0.4788 0.5000
Pd1 0.4845 0.2348 0.7503
Pd2 0.4845 0.7342 0.2497
Pd3 0.5095 0.7489 0.7606
Pd4 0.9883 0.7489 0.2394
```

Peak list (6 most intense, 2θ = 5–70°, by angle)
Position (°2θ)	I_rel
24.4	62.7
31.7	78.2
40.0	78.2
40.6	51.0
41.0	100.0
49.8	40.1



Record 11
PmAg3Cl6: calculated X-ray powder pattern (Cu Kα), based on DFT lattice parameters and positions (PBE).
Intensities are scaled so that the largest is 100.

Crystal structure
```
data_PmAg3Cl6
_chemical_formula_sum 'Pm2 Ag6 Cl12'
_cell_length_a 7.0244
_cell_length_b 6.9446
_cell_length_c 12.6764
_cell_angle_alpha 90.00
_cell_angle_beta 122.17
_cell_angle_gamma 90.00
_symmetry_space_group_name_H-M 'P 1'
_symmetry_Int_Tables_number 1
loop_
_symmetry_equiv_pos_as_xyz
'x,y,z'
loop_
_atom_site_label
_atom_site_fract_x
_atom_site_fract_y
_atom_site_fract_z
Pm1 0.0000 0.0000 0.0000
Pm2 0.0000 0.5000 0.5000
Ag1 0.2730 0.0295 0.7589
Ag2 0.2730 0.4705 0.2589
Ag3 0.5000 0.0000 0.5000
Ag4 0.5000 0.5000 0.0000
Ag5 0.7270 0.5295 0.7411
Ag6 0.7270 0.9705 0.2411
Cl1 0.0712 0.1708 0.4106
Cl2 0.0712 0.3292 0.9106
Cl3 0.2813 0.6743 0.4414
Cl4 0.2813 0.8257 0.9414
Cl5 0.3543 0.1101 0.2328
Cl6 0.3543 0.3899 0.7328
Cl7 0.6457 0.6101 0.2672
Cl8 0.6457 0.8899 0.7672
Cl9 0.7187 0.1743 0.0586
Cl10 0.7187 0.3257 0.5586
Cl11 0.9288 0.6708 0.0894
Cl12 0.9288 0.8292 0.5894
```

Peak list (6 most intense, 2θ = 5–70°, by angle)
Position (°2θ)	I_rel
24.3	87.3
24.7	100.0
25.4	43.9
25.7	38.5
36.4	48.2
44.6	59.6



Record 12
Nd4UCo5: calculated X-ray powder pattern (Cu Kα), based on DFT lattice parameters and positions (PBE).
Intensities are scaled so that the largest is 100.

Crystal structure
```
data_Nd4UCo5
_chemical_formula_sum 'Nd4 U1 Co5'
_cell_length_a 6.9954
_cell_length_b 6.9954
_cell_length_c 6.9954
_cell_angle_alpha 97.13
_cell_angle_beta 97.13
_cell_angle_gamma 138.73
_symmetry_space_group_name_H-M 'P 1'
_symmetry_Int_Tables_number 1
loop_
_symmetry_equiv_pos_as_xyz
'x,y,z'
loop_
_atom_site_label
_atom_site_fract_x
_atom_site_fract_y
_atom_site_fract_z
Nd1 0.0000 0.2884 0.2884
Nd2 0.0000 0.7116 0.7116
Nd3 0.2884 0.0000 0.2884
Nd4 0.7116 0.0000 0.7116
U1 0.4002 0.4002 0.0000
Co1 0.3388 0.3388 0.6567
Co2 0.3388 0.6821 0.0000
Co3 0.6821 0.3388 0.0000
Co4 0.6821 0.6821 0.3433
Co5 0.8849 0.8849 0.0000
```

Peak list (6 most intense, 2θ = 5–70°, by angle)
Position (°2θ)	I_rel
13.5	35.6
28.1	100.0
34.3	65.4
36.4	33.6
41.4	45.4
56.7	30.3



Copy entry 8 word for word.
NaErTlCl5: calculated X-ray powder pattern (Cu Kα), based on DFT lattice parameters and positions (PBE).
Intensities are scaled so that the largest is 100.

Crystal structure
```
data_NaErTlCl5
_chemical_formula_sum 'Na2 Er2 Tl2 Cl10'
_cell_length_a 7.7548
_cell_length_b 7.7548
_cell_length_c 10.0953
_cell_angle_alpha 101.65
_cell_angle_beta 101.65
_cell_angle_gamma 111.90
_symmetry_space_group_name_H-M 'P 1'
_symmetry_Int_Tables_number 1
loop_
_symmetry_equiv_pos_as_xyz
'x,y,z'
loop_
_atom_site_label
_atom_site_fract_x
_atom_site_fract_y
_atom_site_fract_z
Na1 0.1872 0.8128 0.7500
Na2 0.8128 0.1872 0.2500
Er1 0.5000 0.5000 0.0000
Er2 0.5000 0.5000 0.5000
Tl1 0.1503 0.8497 0.2500
Tl2 0.8497 0.1503 0.7500
Cl1 0.1399 0.2406 0.4375
Cl2 0.2099 0.5849 0.9102
Cl3 0.2406 0.1399 0.9375
Cl4 0.4151 0.7901 0.5898
Cl5 0.4329 0.5671 0.2500
Cl6 0.5671 0.4329 0.7500
Cl7 0.5849 0.2099 0.4102
Cl8 0.7594 0.8601 0.0625
Cl9 0.7901 0.4151 0.0898
Cl10 0.8601 0.7594 0.5625
```

Peak list (6 most intense, 2θ = 5–70°, by angle)
Position (°2θ)	I_rel
13.5	40.5
19.3	97.5
21.9	57.4
23.5	100.0
36.5	37.1
39.5	33.1



Q: Which formula does entry 8 have?
A: NaErTlCl5